Diffraction record for Li7Co5O12. The powder XRD pattern is simulated, not measured: it uses a structure optimized by DFT (GGA+U) and Cu Ka.

Most intense lines, 10° ≤ 2θ ≤ 80°, in order of rising 2θ:
| d [Å] | intensity | hkl |
| --- | --- | --- |
| 4.720 | 100.0 | 1 0 0 |
| 2.420 | 35.0 | 1 0 -3 |
| 2.022 | 24.7 | 2 0 -3 |
| 2.016 | 48.8 | 1 -2 2 |
| 1.560 | 9.2 | 2 2 1 |
| 1.439 | 12.9 | -3 2 1 |
| 1.417 | 13.3 | 1 2 -5 |
| 1.360 | 8.9 | 1 4 -1 |

Structural model:
```
Li7Co5O12
1.0
5.0067 0.0000 0.0000
-0.0036 5.6796 0.0000
-2.4480 -1.4291 6.9379
Li Co O
7 5 12
direct
0.0000 0.0000 0.0000
0.4905 0.0819 0.3301
0.4959 0.5841 0.3340
0.5002 0.2402 0.9997
0.4998 0.7598 0.0003
0.5041 0.4159 0.6660
0.5095 0.9181 0.6699
0.0000 0.5000 0.0000
0.0045 0.1666 0.6695
0.0045 0.6712 0.6716
0.9955 0.3288 0.3284
0.9955 0.8334 0.3305
0.2111 0.6205 0.4915
0.2161 0.1228 0.4895
0.2188 0.7744 0.1652
0.2197 0.3084 0.1664
0.2217 0.4581 0.8301
0.2307 0.9531 0.8134
0.7693 0.0469 0.1866
0.7783 0.5419 0.1699
0.7803 0.6916 0.8336
0.7812 0.2256 0.8348
0.7839 0.8772 0.5105
0.7889 0.3795 0.5085
```